(1)
For AcLa2Pu, DFT lattice parameters and positions (GGA-PBE) gives the calculated X-ray diffraction stick pattern in this record (Cu Ka).
Neutral-atom scattering factors, no anomalous dispersion.

Structural model:
Cell: 3.7616 3.7616 35.9859 Å, 90.00 90.00 120.00°
Space group R3m (No. 160, hexagonal axes)
Symmetry-distinct sites (fractional):
Ac: 0.0000 0.0000 0.0000
La: 0.0000 0.0000 0.2433
La: 0.0000 0.0000 0.4226
Pu: 0.0000 0.0000 0.8330

The 6 most intense peaks (10° ≤ 2θ ≤ 90°), low angle first:
2theta  I/Imax
27.83  28.5
29.79  41.4
30.11  100.0
32.54  64.9
48.40  36.1
57.87  39.2



(2)
For Ce2Ga9Pt3, DFT lattice parameters and positions (GGA-PBE) gives the calculated X-ray diffraction stick pattern in this record (Cu Ka).
Neutral-atom scattering factors, no anomalous dispersion.

Structural model:
Cell: 13.411 7.759 10.648 Å, 90.00 114.60 90.00°
Space group C2/c (No. 15)
Symmetry-distinct sites (fractional):
Ce: 0.167 0.083 0.251
Ga: 0.000 0.378 0.250
Ga: 0.058 0.082 0.922
Ga: 0.102 0.317 0.749
Ga: 0.107 0.415 0.069
Ga: 0.224 0.416 0.421
Pt: 0.084 0.249 0.501
Pt: 0.250 0.250 0.000

The 6 most intense peaks (10° ≤ 2θ ≤ 90°), low angle first:
2theta  I/Imax
22.95  25.9
29.50  46.3
36.19  48.5
36.29  23.8
40.31  100.0
44.59  28.0



(3)
For PtPb6Au, DFT lattice parameters and positions (GGA-PBE) gives the calculated X-ray diffraction stick pattern in this record (Cu Ka).
Neutral-atom scattering factors, no anomalous dispersion.

Structural model:
Cell: 4.365 8.728 11.738 Å, 90.00 90.00 90.00°
Space group Amm2 (No. 38)
Symmetry-distinct sites (fractional):
Pt: 0.000 0.000 0.000
Pb: 0.000 0.000 0.615
Pb: 0.000 0.207 0.354
Pb: 0.500 0.000 0.838
Pb: 0.500 0.191 0.101
Au: 0.500 0.000 0.440

The 6 most intense peaks (10° ≤ 2θ ≤ 90°), low angle first:
2theta  I/Imax
30.46  18.0
31.68  19.0
32.39  53.2
32.79  100.0
41.37  34.3
61.97  17.4



(4)
For NdDyIrPt, DFT lattice parameters and positions (GGA-PBE) gives the calculated X-ray diffraction stick pattern in this record (Cu Ka).
Neutral-atom scattering factors, no anomalous dispersion.

Structural model:
Cell: 4.327 3.912 10.837 Å, 90.00 90.00 90.00°
Space group Amm2 (No. 38)
Symmetry-distinct sites (fractional):
Nd: 0.000 0.000 0.000
Dy: 0.500 0.000 0.284
Ir: 0.000 0.000 0.733
Pt: 0.500 0.000 0.563

The 6 most intense peaks (10° ≤ 2θ ≤ 90°), low angle first:
2theta  I/Imax
31.93  100.0
33.07  28.5
39.24  30.6
39.85  78.9
41.75  30.5
46.43  22.5



Copy entry 3 word for word.
For PtPb6Au, DFT lattice parameters and positions (GGA-PBE) gives the calculated X-ray diffraction stick pattern in this record (Cu Ka).
Neutral-atom scattering factors, no anomalous dispersion.

Structural model:
Cell: 4.365 8.728 11.738 Å, 90.00 90.00 90.00°
Space group Amm2 (No. 38)
Symmetry-distinct sites (fractional):
Pt: 0.000 0.000 0.000
Pb: 0.000 0.000 0.615
Pb: 0.000 0.207 0.354
Pb: 0.500 0.000 0.838
Pb: 0.500 0.191 0.101
Au: 0.500 0.000 0.440

The 6 most intense peaks (10° ≤ 2θ ≤ 90°), low angle first:
2theta  I/Imax
30.46  18.0
31.68  19.0
32.39  53.2
32.79  100.0
41.37  34.3
61.97  17.4